# 1
Computed X-ray diffraction stick pattern
Compound: NdPd3S4
Radiation: a wavelength of 1.5418 Å
Structure: a GGA-PBE-relaxed structure

Largest 10 diffraction maxima, in order of falling intensity, 10° ≤ 2θ ≤ 80°:
2.760 Å, 2θ 32.4, rel. 100; 3.024 Å, 2θ 29.5, rel. 95; 1.807 Å, 2θ 50.5, rel. 57; 1.690 Å, 2θ 54.3, rel. 31; 1.875 Å, 2θ 48.6, rel. 23; 1.475 Å, 2θ 63.0, rel. 21; 1.255 Å, 2θ 75.8, rel. 18; 1.952 Å, 2θ 46.5, rel. 18; 1.234 Å, 2θ 77.3, rel. 16; 2.390 Å, 2θ 37.6, rel. 14

Cell and atoms:
Unit cell a=6.761 b=6.761 c=6.761 alpha=90.00 beta=90.00 gamma=90.00
Atoms (fractional coordinates):
1 Nd 0.000 0.000 0.000
2 Nd 0.500 0.500 0.500
3 Pd 0.000 0.250 0.500
4 Pd 0.000 0.750 0.500
5 Pd 0.250 0.500 0.000
6 Pd 0.500 0.000 0.250
7 Pd 0.500 0.000 0.750
8 Pd 0.750 0.500 0.000
9 S 0.250 0.250 0.250
10 S 0.250 0.250 0.750
11 S 0.250 0.750 0.250
12 S 0.250 0.750 0.750
13 S 0.750 0.250 0.250
14 S 0.750 0.250 0.750
15 S 0.750 0.750 0.250
16 S 0.750 0.750 0.750



# 2
Computed X-ray diffraction stick pattern
Compound: NdSbPd6
Radiation: a wavelength of 1.5418 Å
Structure: a GGA-PBE-relaxed structure

Largest 8 diffraction maxima, in order of falling intensity, 10° ≤ 2θ ≤ 80°:
2.383 Å, 2θ 37.7, rel. 100; 2.059 Å, 2θ 44.0, rel. 32; 1.242 Å, 2θ 76.7, rel. 24; 1.461 Å, 2θ 63.7, rel. 21; 2.074 Å, 2θ 43.6, rel. 17; 1.249 Å, 2θ 76.2, rel. 12; 1.456 Å, 2θ 63.9, rel. 10; 4.118 Å, 2θ 21.6, rel. 1

Cell and atoms:
Unit cell a=5.824 b=5.824 c=4.148 alpha=90.00 beta=90.00 gamma=90.00
Atoms (fractional coordinates):
1 Nd 0.000 0.000 0.000
2 Sb 0.500 0.500 0.000
3 Pd 0.000 0.500 0.000
4 Pd 0.256 0.256 0.500
5 Pd 0.256 0.744 0.500
6 Pd 0.500 0.000 0.000
7 Pd 0.744 0.256 0.500
8 Pd 0.744 0.744 0.500



# 3
Computed X-ray diffraction stick pattern
Compound: Nd3Sb4Pd3
Radiation: a wavelength of 1.5418 Å
Structure: a GGA-PBE-relaxed structure

Largest 10 diffraction maxima, in order of falling intensity, 10° ≤ 2θ ≤ 80°:
2.661 Å, 2θ 33.7, rel. 100; 2.227 Å, 2θ 40.5, rel. 40; 3.149 Å, 2θ 28.3, rel. 29; 2.033 Å, 2θ 44.6, rel. 16; 1.355 Å, 2θ 69.3, rel. 14; 1.574 Å, 2θ 58.6, rel. 13; 1.615 Å, 2θ 57.0, rel. 12; 1.953 Å, 2θ 46.5, rel. 11; 2.123 Å, 2θ 42.6, rel. 10; 1.437 Å, 2θ 64.9, rel. 10

Cell and atoms:
Unit cell a=8.624 b=8.624 c=8.624 alpha=109.47 beta=109.47 gamma=109.47
Atoms (fractional coordinates):
1 Nd 0.125 0.750 0.875
2 Nd 0.250 0.625 0.375
3 Nd 0.375 0.250 0.625
4 Nd 0.625 0.375 0.250
5 Nd 0.750 0.875 0.125
6 Nd 0.875 0.125 0.750
7 Sb 0.000 0.340 0.500
8 Sb 0.000 0.840 0.500
9 Sb 0.160 0.160 0.160
10 Sb 0.340 0.500 0.000
11 Sb 0.500 0.000 0.340
12 Sb 0.500 0.000 0.840
13 Sb 0.660 0.660 0.660
14 Sb 0.840 0.500 0.000
15 Pd 0.125 0.875 0.250
16 Pd 0.250 0.125 0.875
17 Pd 0.375 0.625 0.750
18 Pd 0.625 0.750 0.375
19 Pd 0.750 0.375 0.625
20 Pd 0.875 0.250 0.125



# 4
Computed X-ray diffraction stick pattern
Compound: NdSb3Pd
Radiation: a wavelength of 1.5418 Å
Structure: a GGA-PBE-relaxed structure

Largest 10 diffraction maxima, in order of falling intensity, 10° ≤ 2θ ≤ 80°:
2.618 Å, 2θ 34.3, rel. 100; 2.832 Å, 2θ 31.6, rel. 100; 2.213 Å, 2θ 40.8, rel. 93; 2.807 Å, 2θ 31.9, rel. 68; 1.685 Å, 2θ 54.5, rel. 54; 2.528 Å, 2θ 35.5, rel. 45; 1.372 Å, 2θ 68.4, rel. 40; 2.597 Å, 2θ 34.5, rel. 33; 2.545 Å, 2θ 35.3, rel. 33; 3.095 Å, 2θ 28.8, rel. 31

Cell and atoms:
Unit cell a=12.987 b=6.293 c=6.227 alpha=90.00 beta=90.00 gamma=90.00
Atoms (fractional coordinates):
1 Nd 0.191 0.002 0.250
2 Nd 0.191 0.498 0.750
3 Nd 0.809 0.502 0.250
4 Nd 0.809 0.998 0.750
5 Sb 0.002 0.250 0.000
6 Sb 0.002 0.250 0.500
7 Sb 0.270 0.511 0.250
8 Sb 0.270 0.989 0.750
9 Sb 0.439 0.617 0.750
10 Sb 0.439 0.883 0.250
11 Sb 0.561 0.117 0.750
12 Sb 0.561 0.383 0.250
13 Sb 0.730 0.011 0.250
14 Sb 0.730 0.489 0.750
15 Sb 0.998 0.750 0.000
16 Sb 0.998 0.750 0.500
17 Pd 0.400 0.250 0.000
18 Pd 0.400 0.250 0.500
19 Pd 0.600 0.750 0.000
20 Pd 0.600 0.750 0.500